[1]
# TbPr2SmTe5
Simulated X-ray powder pattern, CuKα. Input: a DFT-relaxed cell (GGA-PBE, Alexandria).

```
data_TbPr2SmTe5
_cell_length_a 5.5613
_cell_length_b 5.5613
_cell_length_c 11.7430
_cell_angle_alpha 90.00
_cell_angle_beta 90.00
_cell_angle_gamma 90.00
_space_group_name_H-M_alt 'P 4/m m m'
_space_group_IT_number 123
_space_group_name_Hall '-P 4 2'
loop_
_atom_site_label
_atom_site_type_symbol
_atom_site_fract_x
_atom_site_fract_y
_atom_site_fract_z
Tb1 Tb 0.0000 0.0000 0.0000
Pr1 Pr 0.5000 0.5000 0.1615
Sm1 Sm 0.0000 0.0000 0.5000
Te1 Te 0.0000 0.0000 0.2524
Te2 Te 0.0000 0.5000 0.0000
Te3 Te 0.5000 0.5000 0.5000
```

Peak list (10 most intense, 10 to 90 degrees two-theta, in order of falling intensity)
2θ/deg	Rel. int.
32.2	100
22.6	55
34.5	27
46.2	24
27.9	23
44.9	23
47.9	21
30.4	15
43.1	14
57.4	14

[2]
# PrYPu2S4
Simulated X-ray powder pattern, CuKα. Input: a DFT-relaxed cell (GGA-PBE, Alexandria).

```
data_PrYPu2S4
_cell_length_a 6.8564
_cell_length_b 3.9806
_cell_length_c 6.9686
_cell_angle_alpha 90.00
_cell_angle_beta 109.51
_cell_angle_gamma 90.00
_space_group_name_H-M_alt 'P 1 2/m 1'
_space_group_IT_number 10
_space_group_name_Hall '-P 2y'
loop_
_atom_site_label
_atom_site_type_symbol
_atom_site_fract_x
_atom_site_fract_y
_atom_site_fract_z
Pr1 Pr 0.0000 0.0000 0.0000
Y1 Y 0.0000 0.5000 0.5000
Pu1 Pu 0.5000 0.0000 0.5000
Pu2 Pu 0.5000 0.5000 0.0000
S1 S 0.2519 0.0000 0.7444
S2 S 0.2576 0.5000 0.2608
```

Peak list (10 most intense, 10 to 90 degrees two-theta, in order of falling intensity)
2θ/deg	Rel. int.
31.7	100
27.4	44
45.2	25
45.5	24
45.8	24
27.2	23
27.6	22
13.7	18
53.9	15
54.2	15

[3]
# Be4As
Simulated X-ray powder pattern, CuKα. Input: a DFT-relaxed cell (GGA-PBE, Alexandria).

```
data_Be4As
_cell_length_a 5.5373
_cell_length_b 5.5373
_cell_length_c 3.4425
_cell_angle_alpha 90.00
_cell_angle_beta 90.00
_cell_angle_gamma 90.00
_space_group_name_H-M_alt 'I 4/m'
_space_group_IT_number 87
_space_group_name_Hall '-I 4'
loop_
_atom_site_label
_atom_site_type_symbol
_atom_site_fract_x
_atom_site_fract_y
_atom_site_fract_z
Be1 Be 0.0880 0.3217 0.0000
As1 As 0.0000 0.0000 0.5000
```

Peak list (10 most intense, 10 to 90 degrees two-theta, in order of falling intensity)
2θ/deg	Rel. int.
30.6	100
45.1	98
22.7	92
32.3	47
52.2	32
66.7	21
77.8	20
76.1	16
46.4	15
56.6	15

[4]
# BaPa2TiS8
Simulated X-ray powder pattern, CuKα. Input: a DFT-relaxed cell (GGA-PBE, Alexandria).

```
data_BaPa2TiS8
_cell_length_a 6.0467
_cell_length_b 8.3530
_cell_length_c 6.3676
_cell_angle_alpha 90.00
_cell_angle_beta 92.75
_cell_angle_gamma 90.00
_space_group_name_H-M_alt 'P 1 2/m 1'
_space_group_IT_number 10
_space_group_name_Hall '-P 2y'
loop_
_atom_site_label
_atom_site_type_symbol
_atom_site_fract_x
_atom_site_fract_y
_atom_site_fract_z
Ba1 Ba 0.0000 0.0000 0.0000
Pa1 Pa 0.5000 0.2571 0.5000
Ti1 Ti 0.0000 0.5000 0.0000
S1 S 0.2352 0.3032 0.1670
S2 S 0.2716 0.5000 0.6696
S3 S 0.2749 0.0000 0.6120
```

Peak list (10 most intense, 10 to 90 degrees two-theta, in order of falling intensity)
2θ/deg	Rel. int.
19.8	100
25.9	84
20.8	81
25.5	58
38.9	48
38.0	44
40.0	42
13.9	39
29.2	36
14.7	32